Record 1
Starting from DFT lattice parameters and positions (GGA-PBE), the X-ray diffraction stick pattern of U6Rh2S15 was simulated for λ = 1.5418 Å (Cu Kα).
Lines closer than 0.1° are merged.

Top 10 peaks for 2θ from 15° to 90°, sorted by position:
d = 5.319 Å, I = 436
d = 3.761 Å, I = 479
d = 3.257 Å, I = 477
d = 3.071 Å, I = 661
d = 2.555 Å, I = 525
d = 2.379 Å, I = 1000
d = 2.303 Å, I = 384
d = 2.234 Å, I = 563
d = 1.773 Å, I = 828
d = 1.711 Å, I = 411

Structural model:
Cell: 13.0288 13.0288 13.0288 Å, 90.00 90.00 90.00°
Space group Im-3m (No. 229)
One atom of each set of equivalent atoms:
U 0.0000 0.2951 0.2951
Rh 0.2500 0.2500 0.2500
S 0.0000 0.2500 0.5000
S 0.1276 0.1276 0.3110


Record 2
Starting from DFT lattice parameters and positions (GGA-PBE), the X-ray diffraction stick pattern of PdPb2Br6 was simulated for λ = 1.5418 Å (Cu Kα).
Lines closer than 0.1° are merged.

Top 10 peaks for 2θ from 15° to 90°, sorted by position:
d = 4.675 Å, I = 1000
d = 3.871 Å, I = 253
d = 3.625 Å, I = 227
d = 3.044 Å, I = 466
d = 2.777 Å, I = 255
d = 2.592 Å, I = 554
d = 2.582 Å, I = 328
d = 2.561 Å, I = 251
d = 2.031 Å, I = 234
d = 2.025 Å, I = 199

Structural model:
Cell: 9.7997 6.9328 8.3833 Å, 90.00 90.71 90.00°
Space group P2_1/c (No. 14)
One atom of each set of equivalent atoms:
Pd 0.0000 0.0000 0.0000
Pb 0.2826 0.0415 0.6213
Br 0.0654 0.2040 0.3548
Br 0.2356 0.6266 0.4727
Br 0.4433 0.1561 0.3324


Record 3
Starting from DFT lattice parameters and positions (GGA-PBE), the X-ray diffraction stick pattern of CaNi2Ge2 was simulated for λ = 1.5418 Å (Cu Kα).
Lines closer than 0.1° are merged.

Top 10 peaks for 2θ from 15° to 90°, sorted by position:
d = 5.004 Å, I = 516
d = 3.789 Å, I = 364
d = 2.586 Å, I = 999
d = 2.506 Å, I = 910
d = 2.047 Å, I = 997
d = 1.893 Å, I = 1000
d = 1.799 Å, I = 292
d = 1.605 Å, I = 442
d = 1.448 Å, I = 307
d = 1.150 Å, I = 314

Structural model:
Cell: 4.0943 4.0943 10.0081 Å, 90.00 90.00 90.00°
Space group I4/mmm (No. 139)
One atom of each set of equivalent atoms:
Ca 0.0000 0.0000 0.0000
Ni 0.0000 0.5000 0.2500
Ge 0.0000 0.0000 0.3685


Record 4
Starting from DFT lattice parameters and positions (GGA-PBE), the X-ray diffraction stick pattern of Sb8Cl2O11 was simulated for λ = 1.5418 Å (Cu Kα).
Lines closer than 0.1° are merged.

Top 10 peaks for 2θ from 15° to 90°, sorted by position:
d = 4.545 Å, I = 666
d = 4.476 Å, I = 804
d = 3.544 Å, I = 379
d = 3.404 Å, I = 405
d = 3.340 Å, I = 326
d = 3.300 Å, I = 1000
d = 3.040 Å, I = 519
d = 2.983 Å, I = 277
d = 2.791 Å, I = 373
d = 2.642 Å, I = 281

Structural model:
Cell: 4.2152 9.1631 11.4741 Å, 82.32 86.84 79.99°
Space group P-1 (No. 2)
One atom of each set of equivalent atoms:
Sb 0.1340 0.1405 0.0626
Sb 0.2401 0.4470 0.6508
Sb 0.2793 0.0525 0.6819
Sb 0.3172 0.4762 0.1379
Cl 0.0787 0.8102 0.4841
O 0.0825 0.0017 0.2102
O 0.1989 0.5373 0.8058
O 0.2690 0.5135 0.3065
O 0.2860 0.2431 0.7440
O 0.4139 0.2523 0.1409
O 0.5000 0.0000 0.0000


Record 5
Starting from DFT lattice parameters and positions (GGA-PBE), the X-ray diffraction stick pattern of DyH2 was simulated for λ = 1.5418 Å (Cu Kα).
Lines closer than 0.1° are merged.

Top 8 peaks for 2θ from 15° to 90°, sorted by position:
d = 3.003 Å, I = 1000
d = 2.601 Å, I = 490
d = 1.839 Å, I = 376
d = 1.568 Å, I = 439
d = 1.501 Å, I = 124
d = 1.300 Å, I = 59
d = 1.193 Å, I = 180
d = 1.163 Å, I = 165

Structural model:
Cell: 5.2012 5.2012 5.2012 Å, 90.00 90.00 90.00°
Space group Fm-3m (No. 225)
One atom of each set of equivalent atoms:
Dy 0.0000 0.0000 0.0000
H 0.2500 0.2500 0.2500


Record 6
Starting from DFT lattice parameters and positions (GGA-PBE), the X-ray diffraction stick pattern of Sr3Ta2O8 was simulated for λ = 1.5418 Å (Cu Kα).
Lines closer than 0.1° are merged.

Top 10 peaks for 2θ from 15° to 90°, sorted by position:
d = 4.840 Å, I = 502
d = 4.069 Å, I = 1000
d = 3.275 Å, I = 423
d = 3.084 Å, I = 771
d = 2.964 Å, I = 860
d = 2.926 Å, I = 330
d = 2.867 Å, I = 678
d = 2.744 Å, I = 308
d = 2.018 Å, I = 379
d = 1.746 Å, I = 393

Structural model:
Cell: 10.5133 9.2094 9.4360 Å, 90.00 112.96 90.00°
Space group C2/c (No. 15)
One atom of each set of equivalent atoms:
Sr 0.0000 0.2235 0.2500
Sr 0.1758 0.0613 0.0032
Ta 0.0692 0.3602 0.6197
O 0.0233 0.4221 0.1076
O 0.0566 0.1661 0.5354
O 0.1161 0.3188 0.8513
O 0.2363 0.1025 0.3205